Computed X-ray diffraction stick pattern
Compound: Cr2P3O11
Radiation: CuKα
Structure: DFT lattice parameters and positions (GGA+U)
Lines closer than 0.1° are merged.

The 10 most intense peaks (10 to 80 degrees two-theta), most intense first:
(hkl)	2θ/deg	intensity
1 1 -1	15.0	100
1 1 1	19.3	92
0 2 2	30.5	83
0 2 1	23.6	42
3 1 -2	27.9	40
2 0 0	16.7	33
3 1 -3	34.3	28
4 2 -1	37.5	20
3 1 0	27.2	18
2 2 -2	30.2	18

Crystal structure
a b c (Å): 11.633 8.534 8.829
angles (deg): 90.00 113.86 90.00
Space group C2/c (No. 15)
Unique sites:
Cr  0.126  0.241  0.040 [8 per cell]
P  0.000  0.042  0.250 [4 per cell]
P  0.109  0.435  0.710 [8 per cell]
O  0.000  0.483  0.250 [4 per cell]
O  0.045  0.323  0.566 [8 per cell]
O  0.074  0.054  0.905 [8 per cell]
O  0.095  0.149  0.219 [8 per cell]
O  0.185  0.435  0.178 [8 per cell]
O  0.190  0.341  0.871 [8 per cell]